Computed PXRD pattern of Mg2CrN2 for Cu Kα (weighted mean of Kα1 and Kα2), from a DFT-relaxed cell (GGA-PBE, the Materials Project).
Neutral-atom scattering factors, no anomalous dispersion.

a = 5.4366 Å, b = 5.4366 Å, c = 6.0545 Å
α = 114.39°, β = 114.39°, γ = 48.47°
Sites, in units of the cell vectors:
1 Mg 0.0264 0.0264 0.2633
2 Mg 0.3242 0.3242 0.8926
3 Mg 0.6758 0.6758 0.1074
4 Mg 0.9736 0.9736 0.7367
5 Cr 0.3614 0.3614 0.3699
6 Cr 0.6386 0.6386 0.6301
7 N 0.1783 0.1783 0.1050
8 N 0.4856 0.4856 0.7205
9 N 0.5144 0.5144 0.2795
10 N 0.8217 0.8217 0.8950

Main lines, by intensity (2θ = 5–70°):
- 40.4 deg, d = 2.231 Å, intensity 100
- 24.9 deg, d = 3.573 Å, intensity 100
- 36.2 deg, d = 2.481 Å, intensity 74
- 36.5 deg, d = 2.459 Å, intensity 74
- 46.7 deg, d = 1.945 Å, intensity 54
- 22.3 deg, d = 3.984 Å, intensity 51

=====

Computed PXRD pattern of LaReN3 for Cu Kα (weighted mean of Kα1 and Kα2), from a DFT-relaxed cell (GGA-PBE, the Materials Project).
Neutral-atom scattering factors, no anomalous dispersion.

a = 5.5966 Å, b = 5.5966 Å, c = 5.5966 Å
α = 60.28°, β = 60.28°, γ = 60.28°
Sites, in units of the cell vectors:
1 La 0.2500 0.2500 0.2500
2 La 0.7500 0.7500 0.7500
3 Re 0.0000 0.0000 0.0000
4 Re 0.5000 0.5000 0.5000
5 N 0.2114 0.7500 0.2886
6 N 0.2500 0.7114 0.7886
7 N 0.2886 0.2114 0.7500
8 N 0.7114 0.7886 0.2500
9 N 0.7500 0.2886 0.2114
10 N 0.7886 0.2500 0.7114

Main lines, by intensity (2θ = 5–70°):
- 31.8 deg, d = 2.810 Å, intensity 100
- 32.0 deg, d = 2.798 Å, intensity 100
- 56.8 deg, d = 1.621 Å, intensity 61
- 45.8 deg, d = 1.983 Å, intensity 49
- 57.1 deg, d = 1.613 Å, intensity 20
- 66.9 deg, d = 1.399 Å, intensity 15

=====

Computed PXRD pattern of Sm2TeO2 for Cu Kα (weighted mean of Kα1 and Kα2), from a DFT-relaxed cell (GGA-PBE, the Materials Project).
Neutral-atom scattering factors, no anomalous dispersion.

a = 7.0162 Å, b = 7.0162 Å, c = 7.0162 Å
α = 146.68°, β = 146.68°, γ = 47.84°
Sites, in units of the cell vectors:
1 Sm 0.1610 0.1610 0.0000
2 Sm 0.8390 0.8390 0.0000
3 Te 0.5000 0.5000 0.0000
4 O 0.2500 0.7500 0.5000
5 O 0.7500 0.2500 0.5000

Main lines, by intensity (2θ = 5–70°):
- 30.5 deg, d = 2.930 Å, intensity 100
- 31.4 deg, d = 2.845 Å, intensity 39
- 55.4 deg, d = 1.658 Å, intensity 37
- 53.6 deg, d = 1.709 Å, intensity 23
- 45.1 deg, d = 2.012 Å, intensity 20
- 63.5 deg, d = 1.465 Å, intensity 11